The following is a calculated X-ray powder pattern of LiBeRu2. It was derived from DFT lattice parameters and positions (PBE), using Cu Kα X-rays.
Lines closer than 0.1° are merged.

Structure:
```
data_LiBeRu2
_chemical_formula_sum 'Li1 Be1 Ru2'
_space_group_name_H-M_alt 'P 1'
_space_group_IT_number 1
_cell_length_a 4.1029
_cell_length_b 4.1029
_cell_length_c 4.1029
_cell_angle_alpha 120.57
_cell_angle_beta 120.57
_cell_angle_gamma 89.02
loop_
_space_group_symop_operation_xyz
'x,y,z'
loop_
_atom_site_label
_atom_site_type_symbol
_atom_site_fract_x
_atom_site_fract_y
_atom_site_fract_z
Li1 Li 0.0000 0.0000 0.0000
Be1 Be 0.7500 0.2500 0.5000
Ru1 Ru 0.2500 0.7500 0.5000
Ru2 Ru 0.5000 0.5000 0.0000
```

Top 9 peaks for 2θ = 10–80°, in order of falling intensity:
26.69°, intensity 100; 44.15°, intensity 62; 44.55°, intensity 30; 52.69°, intensity 30; 51.99°, intensity 15; 70.83°, intensity 12; 64.83°, intensity 10; 71.41°, intensity 6; 63.60°, intensity 5

***

The following is a calculated X-ray powder pattern of LiBeSb2. It was derived from DFT lattice parameters and positions (PBE), using Cu Kα X-rays.
Lines closer than 0.1° are merged.

Structure:
```
data_LiBeSb2
_chemical_formula_sum 'Li1 Be1 Sb2'
_space_group_name_H-M_alt 'P 1'
_space_group_IT_number 1
_cell_length_a 3.0228
_cell_length_b 4.0674
_cell_length_c 7.6564
_cell_angle_alpha 90.00
_cell_angle_beta 101.33
_cell_angle_gamma 90.00
loop_
_space_group_symop_operation_xyz
'x,y,z'
loop_
_atom_site_label
_atom_site_type_symbol
_atom_site_fract_x
_atom_site_fract_y
_atom_site_fract_z
Li1 Li 0.0000 0.0000 0.0000
Be1 Be 0.2520 0.5000 0.4906
Sb1 Sb 0.3412 0.0000 0.6715
Sb2 Sb 0.6042 0.5000 0.2105
```

Top 10 peaks for 2θ = 10–80°, in order of falling intensity:
24.90°, intensity 100; 23.70°, intensity 51; 37.55°, intensity 38; 34.67°, intensity 32; 42.41°, intensity 29; 48.22°, intensity 27; 30.16°, intensity 27; 41.36°, intensity 19; 57.65°, intensity 15; 51.08°, intensity 13

***

The following is a calculated X-ray powder pattern of LiBeSb4. It was derived from DFT lattice parameters and positions (PBE), using Cu Kα X-rays.
Lines closer than 0.1° are merged.

Structure:
```
data_LiBeSb4
_chemical_formula_sum 'Li1 Be1 Sb4'
_space_group_name_H-M_alt 'P 1'
_space_group_IT_number 1
_cell_length_a 6.2035
_cell_length_b 6.2035
_cell_length_c 6.2035
_cell_angle_alpha 60.00
_cell_angle_beta 60.00
_cell_angle_gamma 60.00
loop_
_space_group_symop_operation_xyz
'x,y,z'
loop_
_atom_site_label
_atom_site_type_symbol
_atom_site_fract_x
_atom_site_fract_y
_atom_site_fract_z
Li1 Li 0.0000 0.0000 0.0000
Be1 Be 0.2500 0.2500 0.2500
Sb1 Sb 0.1290 0.6237 0.6237
Sb2 Sb 0.6237 0.1290 0.6237
Sb3 Sb 0.6237 0.6237 0.1290
Sb4 Sb 0.6237 0.6237 0.6237
```

Top 10 peaks for 2θ = 10–80°, in order of falling intensity:
17.51°, intensity 100; 35.44°, intensity 74; 33.89°, intensity 67; 41.16°, intensity 35; 71.31°, intensity 28; 45.04°, intensity 26; 59.61°, intensity 25; 54.34°, intensity 23; 62.65°, intensity 19; 77.74°, intensity 10

***

The following is a calculated X-ray powder pattern of Li3ScBe. It was derived from DFT lattice parameters and positions (PBE), using Cu Kα X-rays.
Lines closer than 0.1° are merged.

Structure:
```
data_Li3ScBe
_chemical_formula_sum 'Li3 Sc1 Be1'
_space_group_name_H-M_alt 'P 1'
_space_group_IT_number 1
_cell_length_a 4.4615
_cell_length_b 4.4615
_cell_length_c 4.4615
_cell_angle_alpha 90.00
_cell_angle_beta 90.00
_cell_angle_gamma 90.00
loop_
_space_group_symop_operation_xyz
'x,y,z'
loop_
_atom_site_label
_atom_site_type_symbol
_atom_site_fract_x
_atom_site_fract_y
_atom_site_fract_z
Li1 Li 0.0000 0.0000 0.5000
Li2 Li 0.0000 0.5000 0.0000
Li3 Li 0.5000 0.0000 0.0000
Sc1 Sc 0.5000 0.5000 0.5000
Be1 Be 0.0000 0.0000 0.0000
```

Top 10 peaks for 2θ = 10–80°, in order of falling intensity:
28.29°, intensity 100; 19.90°, intensity 61; 34.83°, intensity 51; 40.44°, intensity 37; 50.08°, intensity 35; 45.46°, intensity 26; 58.52°, intensity 23; 69.93°, intensity 17; 66.24°, intensity 14; 62.45°, intensity 11

***

The following is a calculated X-ray powder pattern of Li2Be2Se3. It was derived from DFT lattice parameters and positions (PBE), using Cu Kα X-rays.
Lines closer than 0.1° are merged.

Structure:
```
data_Li2Be2Se3
_chemical_formula_sum 'Li8 Be8 Se12'
_space_group_name_H-M_alt 'P 1'
_space_group_IT_number 1
_cell_length_a 9.3186
_cell_length_b 9.3186
_cell_length_c 6.4826
_cell_angle_alpha 110.32
_cell_angle_beta 110.32
_cell_angle_gamma 81.28
loop_
_space_group_symop_operation_xyz
'x,y,z'
loop_
_atom_site_label
_atom_site_type_symbol
_atom_site_fract_x
_atom_site_fract_y
_atom_site_fract_z
Li1 Li 0.0673 0.9327 0.7500
Li2 Li 0.2250 0.7750 0.2500
Li3 Li 0.3078 0.4743 0.3294
Li4 Li 0.4743 0.3078 0.8294
Li5 Li 0.5257 0.6922 0.1706
Li6 Li 0.6922 0.5257 0.6706
Li7 Li 0.7750 0.2250 0.7500
Li8 Li 0.9327 0.0673 0.2500
Be1 Be 0.0486 0.5748 0.7308
Be2 Be 0.1335 0.2930 0.7933
Be3 Be 0.2930 0.1335 0.2933
Be4 Be 0.4252 0.9514 0.7692
Be5 Be 0.5748 0.0486 0.2308
Be6 Be 0.7070 0.8665 0.7067
Be7 Be 0.8665 0.7070 0.2067
Be8 Be 0.9514 0.4252 0.2692
Se1 Se 0.0760 0.2283 0.0665
Se2 Se 0.0868 0.6439 0.4520
Se3 Se 0.2283 0.0760 0.5665
Se4 Se 0.2720 0.5018 0.9390
Se5 Se 0.3561 0.9132 0.0480
Se6 Se 0.4982 0.7280 0.5610
Se7 Se 0.5018 0.2720 0.4390
Se8 Se 0.6439 0.0868 0.9520
Se9 Se 0.7280 0.4982 0.0610
Se10 Se 0.7717 0.9240 0.4335
Se11 Se 0.9132 0.3561 0.5480
Se12 Se 0.9240 0.7717 0.9335
```

Top 10 peaks for 2θ = 10–80°, in order of falling intensity:
29.65°, intensity 100; 31.04°, intensity 45; 28.39°, intensity 41; 25.96°, intensity 24; 47.71°, intensity 22; 27.52°, intensity 21; 51.06°, intensity 17; 56.46°, intensity 16; 29.35°, intensity 15; 38.85°, intensity 14

***

The following is a calculated X-ray powder pattern of LiBeSn. It was derived from DFT lattice parameters and positions (PBE), using Cu Kα X-rays.
Lines closer than 0.1° are merged.

Structure:
```
data_LiBeSn
_chemical_formula_sum 'Li2 Be2 Sn2'
_space_group_name_H-M_alt 'P 1'
_space_group_IT_number 1
_cell_length_a 4.3784
_cell_length_b 3.8287
_cell_length_c 6.4722
_cell_angle_alpha 90.00
_cell_angle_beta 98.85
_cell_angle_gamma 90.00
loop_
_space_group_symop_operation_xyz
'x,y,z'
loop_
_atom_site_label
_atom_site_type_symbol
_atom_site_fract_x
_atom_site_fract_y
_atom_site_fract_z
Li1 Li 0.2265 0.2500 0.3316
Li2 Li 0.7735 0.7500 0.6684
Be1 Be 0.1389 0.7500 0.0209
Be2 Be 0.8611 0.2500 0.9791
Sn1 Sn 0.3032 0.2500 0.7877
Sn2 Sn 0.6968 0.7500 0.2123
```

Top 10 peaks for 2θ = 10–80°, in order of falling intensity:
27.15°, intensity 100; 31.20°, intensity 71; 22.98°, intensity 71; 40.04°, intensity 44; 26.59°, intensity 41; 27.90°, intensity 39; 13.85°, intensity 21; 48.53°, intensity 20; 44.54°, intensity 18; 53.39°, intensity 16

***

The following is a calculated X-ray powder pattern of SrLiBe2. It was derived from DFT lattice parameters and positions (PBE), using Cu Kα X-rays.
Lines closer than 0.1° are merged.

Structure:
```
data_SrLiBe2
_chemical_formula_sum 'Sr1 Li1 Be2'
_space_group_name_H-M_alt 'P 1'
_space_group_IT_number 1
_cell_length_a 4.0451
_cell_length_b 5.5646
_cell_length_c 5.5646
_cell_angle_alpha 44.68
_cell_angle_beta 90.00
_cell_angle_gamma 90.00
loop_
_space_group_symop_operation_xyz
'x,y,z'
loop_
_atom_site_label
_atom_site_type_symbol
_atom_site_fract_x
_atom_site_fract_y
_atom_site_fract_z
Sr1 Sr 0.0000 0.0000 0.0000
Li1 Li 0.5000 0.7127 0.7127
Be1 Be 0.0000 0.2960 0.2960
Be2 Be 0.5000 0.3408 0.3408
```

Top 10 peaks for 2θ = 10–80°, in order of falling intensity:
31.82°, intensity 100; 22.73°, intensity 93; 17.23°, intensity 74; 28.06°, intensity 68; 33.63°, intensity 54; 21.97°, intensity 52; 40.54°, intensity 43; 51.92°, intensity 24; 41.59°, intensity 24; 57.18°, intensity 23

***

The following is a calculated X-ray powder pattern of LiTaBe. It was derived from DFT lattice parameters and positions (PBE), using Cu Kα X-rays.
Lines closer than 0.1° are merged.

Structure:
```
data_LiTaBe
_chemical_formula_sum 'Li2 Ta2 Be2'
_space_group_name_H-M_alt 'P 1'
_space_group_IT_number 1
_cell_length_a 2.7953
_cell_length_b 2.7953
_cell_length_c 11.2810
_cell_angle_alpha 90.00
_cell_angle_beta 90.00
_cell_angle_gamma 90.00
loop_
_space_group_symop_operation_xyz
'x,y,z'
loop_
_atom_site_label
_atom_site_type_symbol
_atom_site_fract_x
_atom_site_fract_y
_atom_site_fract_z
Li1 Li 0.0000 0.0000 0.0000
Li2 Li 0.5000 0.5000 0.2024
Ta1 Ta 0.0000 0.0000 0.4134
Ta2 Ta 0.0000 0.0000 0.7132
Be1 Be 0.5000 0.5000 0.5592
Be2 Be 0.5000 0.5000 0.8620
```

Top 10 peaks for 2θ = 10–80°, in order of falling intensity:
40.20°, intensity 100; 32.02°, intensity 86; 23.66°, intensity 81; 33.01°, intensity 56; 45.70°, intensity 47; 52.29°, intensity 40; 45.91°, intensity 39; 67.00°, intensity 33; 31.73°, intensity 30; 76.19°, intensity 30